(1)
CaFe2O4: computed XRD peak list (CuKα), based on the PBE+U geometry in the Materials Project.

Structural model:
Cell lengths 6.270, 6.321, 15.284 Å; angles 89.66, 89.98, 60.36 degrees
Space group P1 (No. 1)
Symmetry-distinct sites (fractional):
Ca (0.000, 0.000, 0.000) x1
Ca (0.003, 0.993, 0.372) x1
Ca (0.178, 0.649, 0.208) x1
Ca (0.508, 0.987, 0.874) x1
Ca (0.682, 0.646, 0.710) x1
Ca (0.840, 0.321, 0.540) x1
Fe (0.018, 0.481, 0.877) x1
Fe (0.018, 0.968, 0.754) x1
Fe (0.189, 0.147, 0.206) x1
Fe (0.334, 0.334, 0.660) x1
Fe (0.342, 0.821, 0.542) x1
Fe (0.344, 0.323, 0.035) x1
Fe (0.346, 0.306, 0.420) x1
Fe (0.502, 0.480, 0.874) x1
Fe (0.662, 0.676, 0.331) x1
Fe (0.678, 0.159, 0.208) x1
Fe (0.691, 0.632, 0.083) x1
Fe (0.841, 0.820, 0.541) x1
O (0.005, 0.512, 0.617) x1
O (0.020, 0.963, 0.621) x1
O (0.034, 0.455, 0.120) x1
O (0.172, 0.655, 0.465) x1
O (0.179, 0.203, 0.957) x1
O (0.196, 0.128, 0.464) x1
O (0.198, 0.612, 0.952) x1
O (0.329, 0.341, 0.789) x1
O (0.340, 0.848, 0.284) x1
O (0.342, 0.793, 0.800) x1
O (0.352, 0.293, 0.287) x1
O (0.486, 0.514, 0.618) x1
O (0.505, 0.004, 0.123) x1
O (0.511, 0.982, 0.617) x1
O (0.520, 0.458, 0.120) x1
O (0.621, 0.205, 0.955) x1
O (0.660, 0.681, 0.463) x1
O (0.674, 0.129, 0.464) x1
O (0.692, 0.629, 0.956) x1
O (0.815, 0.846, 0.283) x1
O (0.820, 0.340, 0.284) x1
O (0.846, 0.310, 0.804) x1
O (0.870, 0.794, 0.801) x1
O (0.995, 0.022, 0.146) x1

Largest 8 diffraction maxima, by angle, 5 to 70 degrees two-theta:
d [Å]	I/Imax	(hkl)
3.163	24.5	1 2 0
2.701	21.7	0 2 -1
2.694	34.8	1 2 3
2.681	67.4	2 2 1
2.668	100.0	0 1 -5
2.222	46.1	2 0 -4
1.705	24.7	2 0 -7
1.581	34.1	2 4 0

---

(2)
CaFe2O4: computed XRD peak list (CuKα), based on the PBE+U geometry in the Materials Project.

Structural model:
Cell lengths 14.623, 3.049, 9.204 Å; angles 90.00, 119.23, 90.00 degrees
Space group Cm (No. 8)
Symmetry-distinct sites (fractional):
Ca (0.000, 0.000, 0.000) x2
Ca (0.194, 0.500, 0.669) x2
Fe (0.191, 0.000, 0.341) x2
Fe (0.256, 0.500, 0.047) x2
Fe (0.431, 0.500, 0.619) x2
Fe (0.495, 0.000, 0.327) x2
O (0.082, 0.500, 0.209) x2
O (0.104, 0.000, 0.463) x2
O (0.211, 0.000, 0.139) x2
O (0.236, 0.000, 0.878) x2
O (0.277, 0.500, 0.493) x2
O (0.409, 0.500, 0.176) x2
O (0.456, 0.000, 0.790) x2
O (0.467, 0.000, 0.518) x2

Largest 8 diffraction maxima, by angle, 5 to 70 degrees two-theta:
d [Å]	I/Imax	(hkl)
8.032	66.3	0 0 1
3.190	100.0	4 0 0
2.847	52.2	4 0 -3
2.584	52.8	3 1 -1
2.266	71.0	1 1 2
1.883	37.3	3 1 2
1.836	45.7	3 1 -4
1.602	33.9	7 1 -4

---

(3)
Ca2Fe2O5: computed XRD peak list (CuKα), based on the PBE+U geometry in the Materials Project.

Structural model:
Cell lengths 5.512, 14.834, 5.642 Å; angles 90.00, 90.00, 90.00 degrees
Space group Pnma (No. 62)
Symmetry-distinct sites (fractional):
Ca (0.032, 0.109, 0.022) x8
Fe (0.000, 0.000, 0.500) x4
Fe (0.054, 0.250, 0.564) x4
O (0.033, 0.641, 0.578) x8
O (0.099, 0.750, 0.126) x4
O (0.223, 0.518, 0.223) x8

Largest 8 diffraction maxima, by angle, 5 to 70 degrees two-theta:
d [Å]	I/Imax	(hkl)
3.714	18.1	0 4 0
2.821	36.1	0 0 2
2.756	42.3	2 0 0
2.701	100.0	1 4 1
1.971	37.1	2 0 2
1.854	18.4	0 8 0
1.605	20.1	1 4 3
1.581	15.6	3 4 1